This entry pairs a crystal structure of Nd8AgPd2 with its computed powder diffractogram. Radiation: copper Kα. Structure: a structure optimized by DFT (PBE).

The 6 most intense peaks (2θ from 15° to 90°), sorted by position:
| d (Å) | I_rel |
| --- | --- |
| 3.109 | 385 |
| 3.004 | 573 |
| 2.952 | 434 |
| 2.887 | 1000 |
| 2.657 | 389 |
| 2.651 | 736 |

Atomic structure:
```
Nd8AgPd2
1.0
9.3582 -2.6513 0.0000
9.3582 2.6513 0.0000
-2.2075 0.0000 6.5888
Nd Ag Pd
8 1 2
Direct
0.0280 0.0280 0.2811
0.2002 0.2002 0.8429
0.3245 0.3245 0.4932
0.4063 0.4063 0.0230
0.5937 0.5937 0.9770
0.6755 0.6755 0.5068
0.7998 0.7998 0.1571
0.9720 0.9720 0.7189
0.5000 0.5000 0.5000
0.1717 0.1717 0.2373
0.8283 0.8283 0.7627
```